Entry 1:
PmErSi4: theoretical powder diffraction line list (copper Kα), based on a DFT-relaxed cell (PBE, Alexandria).

Principal peaks in the range 5° ≤ 2θ ≤ 70°, by angle:
d_spacing	two_theta	I/Imax
4.081	21.8	41
3.983	22.3	60
3.153	28.3	48
2.850	31.4	89
2.720	32.9	65
2.495	36.0	100

Cell and atoms:
a b c (Å): 8.2809 14.5963 4.0809
angles (deg): 90.00 90.00 90.00
Positions (direct):
Pm (0.1136, 0.1362, 0.0000)
Pm (0.3864, 0.6362, 0.0000)
Pm (0.6136, 0.3638, 0.0000)
Pm (0.8864, 0.8638, 0.0000)
Er (0.1406, 0.4125, 0.0000)
Er (0.3594, 0.9125, 0.0000)
Er (0.6406, 0.0875, 0.0000)
Er (0.8594, 0.5875, 0.0000)
Si (0.0282, 0.2927, 0.5000)
Si (0.1216, 0.5599, 0.5000)
Si (0.1272, 0.9652, 0.5000)
Si (0.1882, 0.8049, 0.5000)
Si (0.3118, 0.3049, 0.5000)
Si (0.3728, 0.4652, 0.5000)
Si (0.3784, 0.0599, 0.5000)
Si (0.4718, 0.7927, 0.5000)
Si (0.5282, 0.2073, 0.5000)
Si (0.6216, 0.9401, 0.5000)
Si (0.6272, 0.5348, 0.5000)
Si (0.6882, 0.6951, 0.5000)
Si (0.8118, 0.1951, 0.5000)
Si (0.8728, 0.0348, 0.5000)
Si (0.8784, 0.4401, 0.5000)
Si (0.9718, 0.7073, 0.5000)



Entry 2:
Sc4InNi2Ru: theoretical powder diffraction line list (copper Kα), based on a DFT-relaxed cell (PBE, Alexandria).

Principal peaks in the range 5° ≤ 2θ ≤ 70°, by angle:
d_spacing	two_theta	I/Imax
3.794	23.4	12
3.296	27.1	28
2.341	38.4	97
2.320	38.8	100
1.648	55.8	31
1.356	69.3	13

Cell and atoms:
a b c (Å): 8.1368 8.1368 8.1368
angles (deg): 33.13 33.13 33.13
Positions (direct):
Sc (0.1150, 0.1150, 0.1150)
Sc (0.3685, 0.3685, 0.3685)
Sc (0.6315, 0.6315, 0.6315)
Sc (0.8850, 0.8850, 0.8850)
In (0.5000, 0.5000, 0.5000)
Ni (0.2507, 0.2507, 0.2507)
Ni (0.7493, 0.7493, 0.7493)
Ru (0.0000, 0.0000, 0.0000)